Diffraction record for Ba6Na2V2Ru2O17. The X-ray diffraction stick pattern is theoretical, not measured: it uses a cell relaxed with GGA+U and Cu Kα X-rays.
No peak broadening, texture or thermal motion is included.

Most intense lines, 15 to 90 degrees two-theta, most intense first:
| index | Position (°2θ) | intensity |
| --- | --- | --- |
| 1 1 0 | 30.08 | 100 |
| 1 0 8 | 29.34 | 46 |
| 1 0 7 | 26.97 | 29 |
| 2 0 8 | 42.52 | 28 |
| 1 0 4 | 20.89 | 21 |
| 3 0 0 | 53.42 | 19 |
| 2 2 0 | 62.54 | 18 |
| 2 1 8 | 52.96 | 16 |
| 2 0 7 | 40.84 | 16 |
| 1 1 10 | 42.69 | 15 |

Cell: 5.941 5.941 30.208 Å, 90.00 90.00 120.00°
Sites, in units of the cell vectors:
Ba  0.000  0.000  0.000
Ba  0.000  0.000  0.250
Ba  0.000  0.000  0.500
Ba  0.000  0.000  0.750
Ba  0.333  0.667  0.093
Ba  0.333  0.667  0.407
Ba  0.333  0.667  0.681
Ba  0.333  0.667  0.819
Ba  0.667  0.333  0.181
Ba  0.667  0.333  0.319
Ba  0.667  0.333  0.593
Ba  0.667  0.333  0.907
Na  0.000  0.000  0.124
Na  0.000  0.000  0.376
Na  0.000  0.000  0.624
Na  0.000  0.000  0.876
V  0.333  0.667  0.552
V  0.333  0.667  0.948
V  0.667  0.333  0.052
V  0.667  0.333  0.448
Ru  0.333  0.667  0.204
Ru  0.333  0.667  0.296
Ru  0.667  0.333  0.704
Ru  0.667  0.333  0.796
O  0.028  0.514  0.250
O  0.175  0.349  0.573
O  0.175  0.349  0.927
O  0.175  0.825  0.573
O  0.175  0.825  0.927
O  0.177  0.354  0.170
O  0.177  0.354  0.330
O  0.177  0.823  0.170
O  0.177  0.823  0.330
O  0.333  0.667  0.005
O  0.333  0.667  0.495
O  0.349  0.175  0.073
O  0.349  0.175  0.427
O  0.354  0.177  0.670
O  0.354  0.177  0.830
O  0.486  0.514  0.250
O  0.486  0.972  0.250
O  0.514  0.028  0.750
O  0.514  0.486  0.750
O  0.646  0.823  0.170
O  0.646  0.823  0.330
O  0.651  0.825  0.573
O  0.651  0.825  0.927
O  0.667  0.333  0.505
O  0.667  0.333  0.995
O  0.823  0.177  0.670
O  0.823  0.177  0.830
O  0.823  0.646  0.670
O  0.823  0.646  0.830
O  0.825  0.175  0.073
O  0.825  0.175  0.427
O  0.825  0.651  0.073
O  0.825  0.651  0.427
O  0.972  0.486  0.750